For Li7Mn2Co3O12, the GGA+U geometry in Alexandria gives the computed PXRD pattern in this record (Cu Kα X-rays).

Most intense lines, 2θ from 5° to 70°, low angle first:
(0 0 1), 9.2°, I = 14
(0 0 2), 18.4°, I = 100
(1 3 -1), 36.2°, I = 26
(2 0 0), 36.5°, I = 12
(1 3 1), 37.9°, I = 10
(1 3 -3), 43.7°, I = 56
(2 0 2), 44.3°, I = 27
(1 3 -5), 57.6°, I = 9
(1 3 5), 63.7°, I = 15
(3 3 -1), 64.4°, I = 15

Structure:
```
data_Li7Mn2Co3O12
_cell_length_a 5.006
_cell_length_b 8.727
_cell_length_c 9.789
_cell_angle_alpha 90.00
_cell_angle_beta 100.52
_cell_angle_gamma 90.00
_symmetry_space_group_name_H-M 'C 1 2 1'
_symmetry_Int_Tables_number 5
loop_
_symmetry_equiv_pos_as_xyz
'x,y,z'
'-x,y,-z'
'x+1/2,y+1/2,z'
'-x+1/2,y+1/2,-z'
loop_
_atom_site_label
_atom_site_type_symbol
_atom_site_fract_x
_atom_site_fract_y
_atom_site_fract_z
Li1 Li 0.000 0.000 0.000
Li2 Li 0.245 0.165 0.249
Li3 Li 0.245 0.997 0.752
Li4 Li 0.249 0.336 0.755
Mn1 Mn 0.000 0.500 0.500
Mn2 Mn 0.000 0.665 0.000
Co1 Co 0.000 0.164 0.500
Co2 Co 0.000 0.333 0.000
Co3 Co 0.000 0.838 0.500
O1 O 0.103 0.496 0.891
O2 O 0.112 0.660 0.386
O3 O 0.139 0.179 0.887
O4 O 0.140 0.344 0.389
O5 O 0.144 0.992 0.380
O6 O 0.148 0.817 0.890
```



For Li5MnCo2O8, the GGA+U geometry in Alexandria gives the computed PXRD pattern in this record (Cu Kα X-rays).

Most intense lines, 2θ from 5° to 70°, low angle first:
(0 0 1), 9.2°, I = 27
(1 0 -1), 18.3°, I = 100
(0 0 3), 27.9°, I = 12
(1 0 3), 35.7°, I = 18
(0 1 2), 36.2°, I = 28
(2 0 2), 43.2°, I = 28
(1 1 -3), 43.8°, I = 62
(2 1 -4), 57.7°, I = 13
(3 1 -1), 63.0°, I = 16
(1 1 5), 63.4°, I = 14

Structure:
```
data_Li5MnCo2O8
_cell_length_a 5.142
_cell_length_b 2.897
_cell_length_c 9.745
_cell_angle_alpha 90.00
_cell_angle_beta 99.97
_cell_angle_gamma 90.00
_symmetry_space_group_name_H-M 'P 1 2/m 1'
_symmetry_Int_Tables_number 10
loop_
_symmetry_equiv_pos_as_xyz
'x,y,z'
'-x,-y,-z'
'-x,y,-z'
'x,-y,z'
loop_
_atom_site_label
_atom_site_type_symbol
_atom_site_fract_x
_atom_site_fract_y
_atom_site_fract_z
Li1 Li 0.000 0.000 0.000
Li2 Li 0.000 0.500 0.500
Li3 Li 0.259 0.000 0.759
Li4 Li 0.500 0.500 0.000
Mn1 Mn 0.500 0.000 0.500
Co1 Co 0.220 0.500 0.234
O1 O 0.107 0.500 0.863
O2 O 0.162 0.000 0.376
O3 O 0.369 0.000 0.137
O4 O 0.388 0.500 0.609
```



For Li5MnCo2O8, the GGA+U geometry in Alexandria gives the computed PXRD pattern in this record (Cu Kα X-rays).

Most intense lines, 2θ from 5° to 70°, low angle first:
(2 0 0), 9.2°, I = 29
(0 0 1), 17.9°, I = 12
(4 0 0), 18.5°, I = 100
(1 1 1), 36.4°, I = 24
(2 0 -2), 36.9°, I = 11
(5 1 1), 43.9°, I = 57
(6 0 -2), 44.8°, I = 26
(9 1 1), 57.8°, I = 10
(11 1 -1), 64.1°, I = 14
(1 1 -3), 65.0°, I = 14

Structure:
```
data_Li5MnCo2O8
_cell_length_a 19.223
_cell_length_b 2.893
_cell_length_c 4.956
_cell_angle_alpha 90.00
_cell_angle_beta 93.82
_cell_angle_gamma 90.00
_symmetry_space_group_name_H-M 'C 1 m 1'
_symmetry_Int_Tables_number 8
loop_
_symmetry_equiv_pos_as_xyz
'x,y,z'
'x,-y,z'
'x+1/2,y+1/2,z'
'x+1/2,-y+1/2,z'
loop_
_atom_site_label
_atom_site_type_symbol
_atom_site_fract_x
_atom_site_fract_y
_atom_site_fract_z
Li1 Li 0.000 0.000 0.000
Li2 Li 0.004 0.500 0.487
Li3 Li 0.113 0.000 0.368
Li4 Li 0.222 0.500 0.253
Li5 Li 0.230 0.000 0.736
Mn1 Mn 0.364 0.000 0.111
Co1 Co 0.114 0.500 0.868
Co2 Co 0.364 0.500 0.611
O1 O 0.056 0.500 0.154
O2 O 0.060 0.000 0.700
O3 O 0.169 0.000 0.037
O4 O 0.172 0.500 0.583
O5 O 0.309 0.500 0.926
O6 O 0.311 0.000 0.430
O7 O 0.416 0.000 0.789
O8 O 0.420 0.500 0.298
```



For Li3MnCoO5, the GGA+U geometry in Alexandria gives the computed PXRD pattern in this record (Cu Kα X-rays).

Most intense lines, 2θ from 5° to 70°, low angle first:
(0 1 -1), 18.4°, I = 100
(-1 1 2), 35.7°, I = 14
(2 -1 0), 36.6°, I = 12
(1 1 1), 36.8°, I = 12
(1 0 -3), 43.0°, I = 31
(2 -2 1), 44.2°, I = 28
(1 2 0), 44.6°, I = 28
(1 -2 4), 63.1°, I = 8
(-3 2 2), 63.7°, I = 8
(0 2 3), 63.9°, I = 15

Structure:
```
data_Li3MnCoO5
_cell_length_a 4.994
_cell_length_b 5.825
_cell_length_c 6.653
_cell_angle_alpha 103.32
_cell_angle_beta 98.41
_cell_angle_gamma 107.15
_symmetry_space_group_name_H-M 'P 1'
_symmetry_Int_Tables_number 1
loop_
_symmetry_equiv_pos_as_xyz
'x,y,z'
loop_
_atom_site_label
_atom_site_type_symbol
_atom_site_fract_x
_atom_site_fract_y
_atom_site_fract_z
Li1 Li 0.000 0.000 0.000
Li2 Li 0.011 0.501 0.000
Li3 Li 0.206 0.404 0.394
Li4 Li 0.410 0.799 0.804
Li5 Li 0.621 0.203 0.190
Li6 Li 0.814 0.600 0.608
Mn1 Mn 0.210 0.898 0.397
Mn2 Mn 0.416 0.306 0.809
Co1 Co 0.618 0.699 0.193
Co2 Co 0.810 0.105 0.610
O1 O 0.108 0.419 0.695
O2 O 0.112 0.968 0.687
O3 O 0.322 0.852 0.135
O4 O 0.336 0.365 0.085
O5 O 0.506 0.238 0.522
O6 O 0.508 0.777 0.500
O7 O 0.688 0.634 0.896
O8 O 0.690 0.157 0.893
O9 O 0.914 0.579 0.309
O10 O 0.918 0.028 0.298
```



For Li3MnCoO5, the GGA+U geometry in Alexandria gives the computed PXRD pattern in this record (Cu Kα X-rays).

Most intense lines, 2θ from 5° to 70°, low angle first:
(2 0 0), 7.4°, I = 31
(4 0 0), 14.8°, I = 11
(2 0 -1), 18.3°, I = 100
(5 1 0), 35.7°, I = 28
(8 0 1), 36.6°, I = 11
(7 1 -1), 43.1°, I = 62
(6 0 2), 44.6°, I = 26
(9 1 -2), 56.8°, I = 9
(1 1 -3), 63.4°, I = 15
(13 1 1), 64.1°, I = 14

Structure:
```
data_Li3MnCoO5
_cell_length_a 24.037
_cell_length_b 2.955
_cell_length_c 5.073
_cell_angle_alpha 90.00
_cell_angle_beta 96.25
_cell_angle_gamma 90.00
_symmetry_space_group_name_H-M 'C 1 m 1'
_symmetry_Int_Tables_number 8
loop_
_symmetry_equiv_pos_as_xyz
'x,y,z'
'x,-y,z'
'x+1/2,y+1/2,z'
'x+1/2,-y+1/2,z'
loop_
_atom_site_label
_atom_site_type_symbol
_atom_site_fract_x
_atom_site_fract_y
_atom_site_fract_z
Li1 Li 0.000 0.000 0.000
Li2 Li 0.003 0.500 0.486
Li3 Li 0.099 0.500 0.211
Li4 Li 0.207 0.000 0.402
Li5 Li 0.308 0.500 0.610
Li6 Li 0.406 0.000 0.786
Mn1 Mn 0.101 0.000 0.696
Mn2 Mn 0.205 0.500 0.912
Co1 Co 0.308 0.000 0.118
Co2 Co 0.408 0.500 0.294
O1 O 0.060 0.000 0.375
O2 O 0.060 0.500 0.834
O3 O 0.151 0.500 0.589
O4 O 0.156 0.000 0.033
O5 O 0.252 0.000 0.777
O6 O 0.253 0.500 0.234
O7 O 0.353 0.000 0.438
O8 O 0.354 0.500 0.978
O9 O 0.449 0.000 0.153
O10 O 0.449 0.500 0.609
```



For Li5Mn2CoO8, the GGA+U geometry in Alexandria gives the computed PXRD pattern in this record (Cu Kα X-rays).

Most intense lines, 2θ from 5° to 70°, low angle first:
(0 0 1), 9.2°, I = 21
(0 1 0), 17.9°, I = 12
(0 0 2), 18.5°, I = 100
(0 1 2), 23.0°, I = 8
(1 1 1), 35.0°, I = 13
(-1 1 1), 36.2°, I = 22
(1 1 3), 42.1°, I = 30
(-1 1 3), 44.0°, I = 26
(0 2 -2), 44.3°, I = 25
(-1 3 1), 64.3°, I = 13

Structure:
```
data_Li5Mn2CoO8
_cell_length_a 2.963
_cell_length_b 5.071
_cell_length_c 9.813
_cell_angle_alpha 78.32
_cell_angle_beta 87.89
_cell_angle_gamma 88.39
_symmetry_space_group_name_H-M 'P -1'
_symmetry_Int_Tables_number 2
loop_
_symmetry_equiv_pos_as_xyz
'x,y,z'
'-x,-y,-z'
loop_
_atom_site_label
_atom_site_type_symbol
_atom_site_fract_x
_atom_site_fract_y
_atom_site_fract_z
Li1 Li 0.000 0.000 0.000
Li2 Li 0.028 0.747 0.773
Li3 Li 0.498 0.775 0.223
Mn1 Mn 0.000 0.500 0.500
Mn2 Mn 0.500 0.000 0.500
Co1 Co 0.500 0.500 0.000
O1 O 0.012 0.389 0.893
O2 O 0.043 0.141 0.617
O3 O 0.464 0.629 0.609
O4 O 0.494 0.162 0.114
```



For Li7Mn4CoO12, the GGA+U geometry in Alexandria gives the computed PXRD pattern in this record (Cu Kα X-rays).

Most intense lines, 2θ from 5° to 70°, low angle first:
(0 1 1), 18.4°, I = 100
(2 1 0), 35.3°, I = 15
(2 0 2), 35.8°, I = 12
(0 2 -1), 36.4°, I = 13
(2 0 -1), 43.0°, I = 31
(2 1 3), 43.4°, I = 29
(0 3 0), 44.1°, I = 28
(4 1 2), 62.4°, I = 8
(0 1 4), 63.0°, I = 15
(2 3 -1), 63.4°, I = 8

Structure:
```
data_Li7Mn4CoO12
_cell_length_a 5.955
_cell_length_b 6.535
_cell_length_c 6.588
_cell_angle_alpha 71.44
_cell_angle_beta 63.65
_cell_angle_gamma 76.44
_symmetry_space_group_name_H-M 'P 1'
_symmetry_Int_Tables_number 1
loop_
_symmetry_equiv_pos_as_xyz
'x,y,z'
loop_
_atom_site_label
_atom_site_type_symbol
_atom_site_fract_x
_atom_site_fract_y
_atom_site_fract_z
Li1 Li 0.000 0.000 0.000
Li2 Li 0.077 0.322 0.165
Li3 Li 0.155 0.652 0.318
Li4 Li 0.326 0.325 0.657
Li5 Li 0.481 0.998 0.998
Li6 Li 0.657 0.651 0.334
Li7 Li 0.834 0.318 0.662
Mn1 Mn 0.405 0.655 0.832
Mn2 Mn 0.569 0.325 0.167
Mn3 Mn 0.748 0.993 0.490
Mn4 Mn 0.914 0.656 0.828
Co1 Co 0.241 0.995 0.487
O1 O 0.057 0.665 0.044
O2 O 0.088 0.983 0.270
O3 O 0.228 0.323 0.397
O4 O 0.306 0.655 0.596
O5 O 0.393 0.972 0.734
O6 O 0.458 0.342 0.925
O7 O 0.520 0.642 0.078
O8 O 0.631 0.010 0.247
O9 O 0.695 0.304 0.405
O10 O 0.766 0.671 0.596
O11 O 0.854 0.977 0.734
O12 O 0.922 0.344 0.924
```



For Li2MnCo3O8, the GGA+U geometry in Alexandria gives the computed PXRD pattern in this record (Cu Kα X-rays).

Most intense lines, 2θ from 5° to 70°, low angle first:
(2 0 1), 19.0°, I = 100
(4 2 1), 36.7°, I = 46
(4 0 2), 38.4°, I = 13
(4 4 0), 44.7°, I = 52
(6 0 1), 48.9°, I = 10
(6 4 1), 59.2°, I = 20
(8 0 0), 65.0°, I = 31
(8 2 1), 68.4°, I = 14

Structure:
```
data_Li2MnCo3O8
_cell_length_a 11.465
_cell_length_b 11.474
_cell_length_c 8.113
_cell_angle_alpha 90.00
_cell_angle_beta 90.05
_cell_angle_gamma 90.00
_symmetry_space_group_name_H-M 'C 1 2 1'
_symmetry_Int_Tables_number 5
loop_
_symmetry_equiv_pos_as_xyz
'x,y,z'
'-x,y,-z'
'x+1/2,y+1/2,z'
'-x+1/2,y+1/2,-z'
loop_
_atom_site_label
_atom_site_type_symbol
_atom_site_fract_x
_atom_site_fract_y
_atom_site_fract_z
Li1 Li 0.126 0.000 0.123
Li2 Li 0.126 0.255 0.376
Li3 Li 0.127 0.501 0.126
Li4 Li 0.127 0.753 0.374
Mn1 Mn 0.000 0.002 0.500
Mn2 Mn 0.000 0.253 0.000
Mn3 Mn 0.126 0.627 0.750
Co1 Co 0.000 0.501 0.500
Co2 Co 0.000 0.754 0.000
Co3 Co 0.124 0.878 0.751
Co4 Co 0.125 0.377 0.748
Co5 Co 0.126 0.128 0.750
Co6 Co 0.250 0.003 0.501
Co7 Co 0.250 0.252 0.998
O1 O 0.011 0.502 0.733
O2 O 0.012 0.753 0.766
O3 O 0.013 0.004 0.738
O4 O 0.014 0.251 0.762
O5 O 0.123 0.641 0.988
O6 O 0.123 0.862 0.987
O7 O 0.124 0.614 0.512
O8 O 0.125 0.139 0.984
O9 O 0.125 0.364 0.986
O10 O 0.125 0.393 0.512
O11 O 0.125 0.891 0.514
O12 O 0.126 0.116 0.516
O13 O 0.234 0.004 0.737
O14 O 0.235 0.252 0.761
O15 O 0.236 0.753 0.764
O16 O 0.237 0.502 0.737
```



For Li6Mn3CoO10, the GGA+U geometry in Alexandria gives the computed PXRD pattern in this record (Cu Kα X-rays).

Most intense lines, 2θ from 5° to 70°, low angle first:
(0 0 1), 12.7°, I = 10
(0 1 0), 18.4°, I = 100
(1 -1 2), 35.2°, I = 15
(1 0 -3), 36.4°, I = 24
(1 -2 2), 42.3°, I = 32
(-1 1 3), 44.2°, I = 29
(2 1 -1), 44.4°, I = 29
(-2 3 1), 62.4°, I = 8
(3 -1 1), 63.0°, I = 16
(0 1 -5), 63.3°, I = 8

Structure:
```
data_Li6Mn3CoO10
_cell_length_a 5.034
_cell_length_b 5.190
_cell_length_c 7.696
_cell_angle_alpha 103.76
_cell_angle_beta 107.32
_cell_angle_gamma 101.21
_symmetry_space_group_name_H-M 'P 1'
_symmetry_Int_Tables_number 1
loop_
_symmetry_equiv_pos_as_xyz
'x,y,z'
loop_
_atom_site_label
_atom_site_type_symbol
_atom_site_fract_x
_atom_site_fract_y
_atom_site_fract_z
Li1 Li 0.000 0.000 0.000
Li2 Li 0.007 0.511 0.500
Li3 Li 0.187 0.511 0.900
Li4 Li 0.379 0.494 0.292
Li5 Li 0.613 0.504 0.709
Li6 Li 0.813 0.496 0.100
Mn1 Mn 0.401 0.992 0.804
Mn2 Mn 0.597 0.010 0.197
Mn3 Mn 0.803 0.999 0.606
Co1 Co 0.192 0.012 0.390
O1 O 0.028 0.755 0.750
O2 O 0.204 0.210 0.653
O3 O 0.222 0.774 0.170
O4 O 0.417 0.222 0.047
O5 O 0.419 0.773 0.567
O6 O 0.570 0.234 0.428
O7 O 0.585 0.781 0.955
O8 O 0.780 0.231 0.836
O9 O 0.800 0.795 0.347
O10 O 0.979 0.242 0.257
```



For Li5Mn2CoO8, the GGA+U geometry in Alexandria gives the computed PXRD pattern in this record (Cu Kα X-rays).

Most intense lines, 2θ from 5° to 70°, low angle first:
(0 1 1), 11.6°, I = 27
(0 1 -1), 14.1°, I = 15
(0 0 2), 18.0°, I = 9
(0 2 0), 18.5°, I = 100
(1 1 2), 36.3°, I = 12
(0 0 4), 36.4°, I = 15
(-1 1 2), 36.5°, I = 12
(1 3 2), 43.6°, I = 31
(-1 3 2), 44.1°, I = 30
(0 2 -4), 44.4°, I = 29

Structure:
```
data_Li5Mn2CoO8
_cell_length_a 2.883
_cell_length_b 9.776
_cell_length_c 10.049
_cell_angle_alpha 78.90
_cell_angle_beta 89.62
_cell_angle_gamma 89.51
_symmetry_space_group_name_H-M 'P -1'
_symmetry_Int_Tables_number 2
loop_
_symmetry_equiv_pos_as_xyz
'x,y,z'
'-x,-y,-z'
loop_
_atom_site_label
_atom_site_type_symbol
_atom_site_fract_x
_atom_site_fract_y
_atom_site_fract_z
Li1 Li 0.000 0.000 0.000
Li2 Li 0.002 0.258 0.614
Li3 Li 0.008 0.758 0.875
Li4 Li 0.490 0.745 0.618
Li5 Li 0.493 0.241 0.883
Li6 Li 0.500 0.500 0.500
Mn1 Mn 0.010 0.497 0.260
Mn2 Mn 0.500 0.000 0.245
Co1 Co 0.000 0.000 0.500
Co2 Co 0.500 0.500 0.000
O1 O 0.004 0.886 0.201
O2 O 0.004 0.896 0.684
O3 O 0.007 0.381 0.425
O4 O 0.025 0.613 0.065
O5 O 0.485 0.610 0.806
O6 O 0.492 0.387 0.696
O7 O 0.497 0.107 0.561
O8 O 0.497 0.117 0.081
```